Diffraction record for NaBeIn2Se4. The powder diffraction line list is theoretical, not measured: it uses the PBE geometry in Alexandria and Cu Kα (λ = 1.5418 Å).

Cell and atoms:
```
data_NaBeIn2Se4
_chemical_formula_sum 'Na1 Be1 In2 Se4'
_symmetry_space_group_name_H-M 'P 1'
_symmetry_Int_Tables_number 1
_symmetry_space_group_name_Hall 'P 1'
_cell_length_a 6.929
_cell_length_b 6.453
_cell_length_c 6.603
_cell_angle_alpha 64.09
_cell_angle_beta 56.90
_cell_angle_gamma 59.01
loop_
_atom_site_label
_atom_site_type_symbol
_atom_site_fract_x
_atom_site_fract_y
_atom_site_fract_z
Na1 Na 0.000 0.000 0.000
Be1 Be 0.446 0.446 0.554
In1 In 0.215 0.215 0.285
In2 In 0.715 0.715 0.785
Se1 Se 0.103 0.542 0.897
Se2 Se 0.337 0.753 0.247
Se3 Se 0.542 0.103 0.458
Se4 Se 0.753 0.337 0.663
```

Principal peaks in the range 10° ≤ 2θ ≤ 90°, low angle first:
17.7°, I 21
20.6°, I 16
25.7°, I 50
27.8°, I 100
33.2°, I 34
35.9°, I 28
41.8°, I 24
41.9°, I 21
46.0°, I 37
47.0°, I 47

---

Diffraction record for Be2Nb2In. The powder diffraction line list is theoretical, not measured: it uses the PBE geometry in Alexandria and Cu Kα (λ = 1.5418 Å).

Cell and atoms:
```
data_Be2Nb2In
_chemical_formula_sum 'Be2 Nb2 In1'
_symmetry_space_group_name_H-M 'P 1'
_symmetry_Int_Tables_number 1
_symmetry_space_group_name_Hall 'P 1'
_cell_length_a 6.379
_cell_length_b 6.379
_cell_length_c 3.517
_cell_angle_alpha 90.00
_cell_angle_beta 90.00
_cell_angle_gamma 148.52
loop_
_atom_site_label
_atom_site_type_symbol
_atom_site_fract_x
_atom_site_fract_y
_atom_site_fract_z
Be1 Be 0.203 0.797 0.000
Be2 Be 0.797 0.203 0.000
Nb1 Nb 0.349 0.651 0.500
Nb2 Nb 0.651 0.349 0.500
In1 In 0.000 0.000 0.000
```

Principal peaks in the range 10° ≤ 2θ ≤ 90°, low angle first:
29.3°, I 49
33.9°, I 100
37.2°, I 99
38.9°, I 61
44.3°, I 21
52.0°, I 17
52.9°, I 17
63.5°, I 31
65.3°, I 28
67.6°, I 23